This entry pairs a crystal structure of Rb3ZrCl8 with its theoretical XRD peak list. Radiation: a wavelength of 1.5418 Å. Structure: the GGA-PBE geometry in Alexandria.
Lines closer than 0.1° are merged.

Principal peaks in the range 2θ from 10° to 90°, by angle:
2theta, Rel. int.
13.14, 21
21.41, 100
21.78, 22
31.00, 46
37.32, 27
37.99, 78
43.63, 26
59.83, 22

Cell and atoms:
a = 8.3036 Å, b = 8.3036 Å, c = 8.3036 Å
α = 121.14°, β = 121.14°, γ = 88.04°
Fractional coordinates of all 12 atoms:
Rb: 0.0000 0.0000 0.0000
Rb: 0.2500 0.7500 0.5000
Rb: 0.7500 0.2500 0.5000
Zr: 0.5000 0.5000 0.0000
Cl: 0.1837 0.1837 0.7432
Cl: 0.2286 0.6617 0.0000
Cl: 0.3383 0.3383 0.5669
Cl: 0.4405 0.4405 0.2568
Cl: 0.5595 0.8163 0.0000
Cl: 0.6617 0.2286 0.0000
Cl: 0.7714 0.7714 0.4331
Cl: 0.8163 0.5595 0.0000